(1)
For CsPm2AgO4, a crystal structure in Alexandria, relaxed with GGA-PBE gives the simulated PXRD pattern in this record (CuKα).
No peak broadening, texture or thermal motion is included.

Principal peaks in the range 10° ≤ 2θ ≤ 90°, in order of rising 2θ:
Position (°2θ)	Rel. int.
25.35	56
28.74	100
33.18	47
35.40	62
48.52	30
49.03	26

Structure:
a b c (Å): 6.4851 6.4851 12.7809
angles (deg): 90.00 90.00 146.78
Positions (direct):
1 Cs 0.0941 0.9059 0.7500
2 Cs 0.9059 0.0941 0.2500
3 Pm 0.3662 0.6338 0.5583
4 Pm 0.3662 0.6338 0.9417
5 Pm 0.6338 0.3662 0.0583
6 Pm 0.6338 0.3662 0.4417
7 Ag 0.1854 0.8146 0.2500
8 Ag 0.8146 0.1854 0.7500
9 O 0.0000 0.0000 0.0000
10 O 0.0000 0.0000 0.5000
11 O 0.2485 0.7515 0.0838
12 O 0.2485 0.7515 0.4162
13 O 0.4193 0.5807 0.7500
14 O 0.5807 0.4193 0.2500
15 O 0.7515 0.2485 0.5838
16 O 0.7515 0.2485 0.9162

***

(2)
For Li2CoSb2, a crystal structure in Alexandria, relaxed with GGA-PBE gives the simulated PXRD pattern in this record (CuKα).
No peak broadening, texture or thermal motion is included.

Principal peaks in the range 10° ≤ 2θ ≤ 90°, in order of rising 2θ:
Position (°2θ)	Rel. int.
19.38	100
30.43	48
36.33	70
43.57	22
48.10	30
50.53	23

Structure:
a b c (Å): 6.5691 6.5691 4.5803
angles (deg): 90.00 90.00 90.00
Positions (direct):
1 Li 0.1640 0.3360 0.0000
2 Li 0.3360 0.8360 0.0000
3 Li 0.6640 0.1640 0.0000
4 Li 0.8360 0.6640 0.0000
5 Co 0.0000 0.0000 0.5000
6 Co 0.5000 0.5000 0.5000
7 Sb 0.1546 0.6546 0.5000
8 Sb 0.3454 0.1546 0.5000
9 Sb 0.6546 0.8454 0.5000
10 Sb 0.8454 0.3454 0.5000

***

(3)
For CuSn4Pd, a crystal structure in Alexandria, relaxed with GGA-PBE gives the simulated PXRD pattern in this record (CuKα).
No peak broadening, texture or thermal motion is included.

Principal peaks in the range 10° ≤ 2θ ≤ 90°, in order of rising 2θ:
Position (°2θ)	Rel. int.
30.18	60
30.31	100
30.54	100
33.17	94
33.86	81
45.53	64

Structure:
a b c (Å): 6.5336 6.6052 6.5490
angles (deg): 90.00 91.69 90.00
Positions (direct):
1 Cu 0.0000 0.0000 0.0000
2 Cu 0.0000 0.5000 0.5000
3 Sn 0.1273 0.1395 0.3682
4 Sn 0.1273 0.3605 0.8682
5 Sn 0.3607 0.6335 0.3648
6 Sn 0.3607 0.8665 0.8648
7 Sn 0.6393 0.1335 0.1352
8 Sn 0.6393 0.3665 0.6352
9 Sn 0.8727 0.6395 0.1318
10 Sn 0.8727 0.8605 0.6318
11 Pd 0.5000 0.0000 0.5000
12 Pd 0.5000 0.5000 0.0000

***

(4)
For LaPr6Ho, a crystal structure in Alexandria, relaxed with GGA-PBE gives the simulated PXRD pattern in this record (CuKα).
No peak broadening, texture or thermal motion is included.

Principal peaks in the range 10° ≤ 2θ ≤ 90°, in order of rising 2θ:
Position (°2θ)	Rel. int.
29.60	100
34.31	51
49.31	36
58.57	43
61.45	12
80.01	17

Structure:
a b c (Å): 5.2239 5.2239 10.4673
angles (deg): 90.00 90.00 90.00
Positions (direct):
1 La 0.0000 0.0000 0.0000
2 Pr 0.0000 0.5000 0.2541
3 Pr 0.0000 0.5000 0.7459
4 Pr 0.5000 0.0000 0.2541
5 Pr 0.5000 0.0000 0.7459
6 Pr 0.5000 0.5000 0.0000
7 Pr 0.5000 0.5000 0.5000
8 Ho 0.0000 0.0000 0.5000

***

(5)
For Th5SbOs2, a crystal structure in Alexandria, relaxed with GGA-PBE gives the simulated PXRD pattern in this record (CuKα).
No peak broadening, texture or thermal motion is included.

Principal peaks in the range 10° ≤ 2θ ≤ 90°, in order of rising 2θ:
Position (°2θ)	Rel. int.
12.71	19
31.61	100
34.17	21
35.54	51
41.10	26
66.14	21

Structure:
a b c (Å): 8.9664 8.9664 8.9664
angles (deg): 127.09 127.09 78.10
Positions (direct):
1 Th 0.0000 0.0000 0.0000
2 Th 0.0241 0.5241 0.8158
3 Th 0.2083 0.0241 0.5000
4 Th 0.2917 0.7917 0.8158
5 Th 0.4759 0.2917 0.5000
6 Th 0.5000 0.5000 0.0000
7 Th 0.5241 0.7083 0.5000
8 Th 0.7083 0.2083 0.1842
9 Th 0.7917 0.9759 0.5000
10 Th 0.9759 0.4759 0.1842
11 Sb 0.2500 0.2500 0.0000
12 Sb 0.7500 0.7500 0.0000
13 Os 0.1420 0.3580 0.5000
14 Os 0.3580 0.8580 0.2160
15 Os 0.6420 0.1420 0.7840
16 Os 0.8580 0.6420 0.5000

***

(6)
For AlSeBr7, a crystal structure in Alexandria, relaxed with GGA-PBE gives the simulated PXRD pattern in this record (CuKα).
No peak broadening, texture or thermal motion is included.

Principal peaks in the range 10° ≤ 2θ ≤ 90°, in order of rising 2θ:
Position (°2θ)	Rel. int.
15.42	69
17.63	52
23.60	55
23.80	100
26.64	59
26.78	63

Structure:
a b c (Å): 7.5998 6.9094 13.9446
angles (deg): 90.00 104.60 90.00
Positions (direct):
1 Al 0.0000 0.0107 0.0000
2 Al 0.0000 0.9893 0.5000
3 Se 0.6644 0.3940 0.8441
4 Se 0.6644 0.6060 0.3441
5 Br 0.0038 0.1474 0.8464
6 Br 0.0038 0.8526 0.3464
7 Br 0.0325 0.3211 0.4980
8 Br 0.0325 0.6789 0.9980
9 Br 0.2336 0.1474 0.1231
10 Br 0.2336 0.8526 0.6231
11 Br 0.4434 0.4261 0.3999
12 Br 0.4434 0.5739 0.8999
13 Br 0.4697 0.1619 0.7425
14 Br 0.4697 0.8381 0.2425
15 Br 0.7166 0.4002 0.2181
16 Br 0.7166 0.5998 0.7181
17 Br 0.7193 0.1049 0.0275
18 Br 0.7193 0.8951 0.5275